Entry 1:
Starting from the PBE geometry in Alexandria, the PXRD pattern of La2Sb3Pd9 was calculated for CuKα.
Intensities are scaled so that the largest is 100.

Structure:
abc: 8.100 8.100 9.502
angles: 90.00 90.00 60.42
Fractional positions:
1 La 0.018 0.673 0.750
2 La 0.327 0.982 0.750
3 La 0.673 0.018 0.250
4 La 0.982 0.327 0.250
5 Sb 0.000 0.000 0.000
6 Sb 0.000 0.000 0.500
7 Sb 0.324 0.324 0.000
8 Sb 0.324 0.324 0.500
9 Sb 0.676 0.676 0.000
10 Sb 0.676 0.676 0.500
11 Pd 0.000 0.342 0.585
12 Pd 0.000 0.342 0.915
13 Pd 0.000 0.658 0.085
14 Pd 0.000 0.658 0.415
15 Pd 0.145 0.855 0.250
16 Pd 0.332 0.668 0.528
17 Pd 0.332 0.668 0.972
18 Pd 0.342 0.000 0.085
19 Pd 0.342 0.000 0.415
20 Pd 0.360 0.444 0.250
21 Pd 0.444 0.360 0.750
22 Pd 0.556 0.640 0.250
23 Pd 0.640 0.556 0.750
24 Pd 0.658 0.000 0.585
25 Pd 0.658 0.000 0.915
26 Pd 0.668 0.332 0.028
27 Pd 0.668 0.332 0.472
28 Pd 0.855 0.145 0.750

Most intense lines, 2θ = 10–80°, low angle first:
- 2θ 31.76, intensity 15.8
- 2θ 35.10, intensity 13.4
- 2θ 35.97, intensity 100.0
- 2θ 37.88, intensity 20.7
- 2θ 38.33, intensity 73.3
- 2θ 38.59, intensity 33.0
- 2θ 38.71, intensity 23.6
- 2θ 38.94, intensity 14.8
- 2θ 42.97, intensity 22.7
- 2θ 44.18, intensity 15.4
- 2θ 67.68, intensity 13.2
- 2θ 69.14, intensity 13.4



Entry 2:
Starting from the PBE geometry in Alexandria, the PXRD pattern of NaTlGeF6 was calculated for CuKα.
Intensities are scaled so that the largest is 100.

Structure:
abc: 5.718 5.718 5.723
angles: 90.00 90.00 120.00
Fractional positions:
1 Na 0.000 0.000 0.000
2 Tl 0.667 0.333 0.500
3 Ge 0.333 0.667 0.000
4 F 0.076 0.397 0.184
5 F 0.076 0.679 0.816
6 F 0.321 0.397 0.816
7 F 0.321 0.924 0.184
8 F 0.603 0.679 0.184
9 F 0.603 0.924 0.816

Most intense lines, 2θ = 10–80°, low angle first:
- 2θ 17.91, intensity 29.9
- 2θ 23.76, intensity 100.0
- 2θ 31.28, intensity 28.7
- 2θ 35.08, intensity 10.6
- 2θ 36.27, intensity 21.0
- 2θ 39.66, intensity 22.0
- 2θ 44.81, intensity 30.0
- 2θ 48.64, intensity 10.2
- 2θ 51.35, intensity 33.5
- 2θ 65.25, intensity 10.7
- 2θ 70.50, intensity 19.9
- 2θ 74.12, intensity 11.9